1.
This entry pairs a crystal structure of GdErIn3Si2 with its theoretical XRD peak list. Radiation: λ = 1.5418 Å (Cu Kα). Structure: a GGA-PBE-relaxed structure.
Intensities are scaled so that the largest is 100.

Top 10 peaks for 10 to 90 degrees two-theta, in order of rising 2θ:
hkl, d/Å, 2theta, intensity
3 1 0, 2.708, 33.08, 56
1 1 -2, 2.687, 33.35, 100
2 0 2, 2.674, 33.51, 29
4 0 -1, 2.605, 34.42, 25
3 1 1, 2.412, 37.27, 36
4 0 -2, 2.285, 39.43, 17
0 2 0, 2.140, 42.24, 28
2 2 2, 1.671, 54.96, 14
4 2 -1, 1.653, 55.58, 12
7 1 -1, 1.432, 65.13, 15

Structural model:
abc: 10.6511 4.2790 6.9903
angles: 90.00 99.95 90.00
Positions (direct):
Gd 0.0000 0.0000 0.0000
Gd 0.5000 0.5000 0.0000
Er 0.2422 0.0000 0.6637
Er 0.7422 0.5000 0.6637
In 0.1218 0.5000 0.3331
In 0.3160 0.0000 0.1818
In 0.4255 0.5000 0.4820
In 0.6218 0.0000 0.3331
In 0.8160 0.5000 0.1818
In 0.9255 0.0000 0.4820
Si 0.0278 0.5000 0.7116
Si 0.2136 0.5000 0.9466
Si 0.5278 0.0000 0.7116
Si 0.7136 0.0000 0.9466

=====

2.
This entry pairs a crystal structure of Gd2ErTmIn2 with its theoretical XRD peak list. Radiation: λ = 1.5418 Å (Cu Kα). Structure: a GGA-PBE-relaxed structure.
Intensities are scaled so that the largest is 100.

Top 10 peaks for 10 to 90 degrees two-theta, in order of rising 2θ:
hkl, d/Å, 2theta, intensity
1 0 2, 2.724, 32.88, 95
1 1 0, 2.689, 33.31, 100
1 1 2, 2.099, 43.09, 8
2 0 2, 1.914, 47.51, 34
2 1 2, 1.559, 59.26, 35
3 0 0, 1.553, 59.54, 19
1 1 4, 1.424, 65.55, 28
2 2 0, 1.345, 69.96, 12
3 1 2, 1.206, 79.49, 15
3 0 4, 1.140, 85.11, 14

Structural model:
abc: 5.3789 5.3789 6.7151
angles: 90.00 90.00 120.00
Positions (direct):
Gd 0.0000 0.0000 0.2502
Gd 0.0000 0.0000 0.7498
Er 0.3333 0.6667 0.0000
Tm 0.6667 0.3333 0.5000
In 0.3333 0.6667 0.5000
In 0.6667 0.3333 0.0000

=====

3.
This entry pairs a crystal structure of GdErTm2In2 with its theoretical XRD peak list. Radiation: λ = 1.5418 Å (Cu Kα). Structure: a GGA-PBE-relaxed structure.
Intensities are scaled so that the largest is 100.

Top 10 peaks for 10 to 90 degrees two-theta, in order of rising 2θ:
hkl, d/Å, 2theta, intensity
0 1 2, 2.712, 33.03, 96
1 1 0, 2.675, 33.50, 100
2 0 2, 1.904, 47.76, 34
0 0 4, 1.672, 54.90, 8
1 2 2, 1.551, 59.60, 35
3 0 0, 1.544, 59.90, 19
1 1 4, 1.418, 65.87, 28
2 2 0, 1.337, 70.40, 12
3 1 2, 1.199, 79.99, 15
3 0 4, 1.135, 85.61, 14

Structural model:
abc: 5.3495 5.3495 6.6890
angles: 90.00 90.00 120.00
Positions (direct):
Gd 0.0000 0.0000 0.0000
Er 0.0000 0.0000 0.5000
Tm 0.3333 0.6667 0.7476
Tm 0.6667 0.3333 0.2524
In 0.3333 0.6667 0.2515
In 0.6667 0.3333 0.7485